1.
Ca2Pm4Sn3O2: calculated powder X-ray diffraction pattern (Cu Kα), based on a crystal structure in Alexandria, relaxed with PBE.

Most intense lines, 2θ = 15–90°, most intense first:
- 2θ = 33.7°, d 2.662, rel. 100.0
- 2θ = 37.0°, d 2.431, rel. 51.3
- 2θ = 64.5°, d 1.444, rel. 31.3
- 2θ = 26.9°, d 3.317, rel. 24.1
- 2θ = 29.6°, d 3.019, rel. 21.7
- 2θ = 58.0°, d 1.590, rel. 18.8

Atomic structure:
```
Ca2Pm4Sn3O2
1.0
-2.431 2.431 12.617
2.431 -2.431 12.617
2.431 2.431 -12.617
Ca Pm Sn O
2 4 3 2
Direct
0.197 0.197 0.000
0.803 0.803 0.000
0.087 0.587 0.500
0.413 0.913 0.500
0.587 0.087 0.500
0.913 0.413 0.500
0.326 0.326 0.000
0.500 0.500 0.000
0.674 0.674 0.000
0.099 0.099 0.000
0.901 0.901 0.000
```

=====

2.
CaPmTeO5: calculated powder X-ray diffraction pattern (Cu Kα), based on a crystal structure in Alexandria, relaxed with PBE.

Most intense lines, 2θ = 15–90°, most intense first:
- 2θ = 23.1°, d 3.856, rel. 100.0
- 2θ = 30.8°, d 2.899, rel. 93.5
- 2θ = 23.7°, d 3.759, rel. 90.6
- 2θ = 46.3°, d 1.960, rel. 29.1
- 2θ = 30.7°, d 2.912, rel. 27.1
- 2θ = 33.5°, d 2.677, rel. 24.2

Atomic structure:
```
CaPmTeO5
1.0
4.289 -4.717 0.000
4.289 4.717 0.000
-4.072 0.000 7.405
Ca Pm Te O
2 2 2 10
Direct
0.188 0.812 0.750
0.812 0.188 0.250
0.500 0.500 0.000
0.500 0.500 0.500
0.161 0.839 0.250
0.839 0.161 0.750
0.159 0.201 0.855
0.201 0.159 0.355
0.216 0.730 0.453
0.270 0.784 0.047
0.420 0.580 0.750
0.580 0.420 0.250
0.730 0.216 0.953
0.784 0.270 0.547
0.799 0.841 0.645
0.841 0.799 0.145
```